1.
Starting from a PBE-relaxed structure, the powder XRD pattern of Li2MnCoCl6 was simulated for CuKα.
No peak broadening, texture or thermal motion is included.

Cell and atoms:
Lattice parameters (Å, degrees): 6.3332 6.3332 17.1972 90.00 90.00 120.00
Space group R3 (No. 146, hexagonal axes)
One atom of each set of equivalent atoms:
1 Li 0.0000 0.0000 0.0000 (multiplicity 3)
2 Li 0.0000 0.0000 0.4977 (multiplicity 3)
3 Mn 0.0000 0.0000 0.1938 (multiplicity 3)
4 Co 0.0000 0.0000 0.6923 (multiplicity 3)
5 Cl 0.0230 0.3396 0.7638 (multiplicity 9)
6 Cl 0.0283 0.6739 0.2667 (multiplicity 9)

Largest 6 diffraction maxima, in order of falling intensity, 15 to 90 degrees two-theta:
Position (°2θ), Rel. int.
32.30, 100
19.19, 89
42.54, 66
49.88, 42
26.34, 28
38.95, 20

---

2.
Starting from a PBE-relaxed structure, the powder XRD pattern of NdThSn2Rh5 was simulated for CuKα.
No peak broadening, texture or thermal motion is included.

Cell and atoms:
Lattice parameters (Å, degrees): 4.446 4.446 9.142 90.00 90.00 90.00
Space group P4/mmm (No. 123)
One atom of each set of equivalent atoms:
1 Nd 0.000 0.000 0.000 (multiplicity 1)
2 Th 0.000 0.000 0.500 (multiplicity 1)
3 Sn 0.500 0.500 0.348 (multiplicity 2)
4 Rh 0.000 0.500 0.214 (multiplicity 4)
5 Rh 0.500 0.500 0.000 (multiplicity 1)

Largest 6 diffraction maxima, in order of falling intensity, 15 to 90 degrees two-theta:
Position (°2θ), Rel. int.
34.63, 100
40.58, 70
28.00, 34
41.26, 28
35.72, 27
70.01, 25

---

3.
Starting from a PBE-relaxed structure, the powder XRD pattern of SrMgGe2Au5 was simulated for CuKα.
No peak broadening, texture or thermal motion is included.

Cell and atoms:
Lattice parameters (Å, degrees): 4.987 4.987 8.471 90.00 90.00 90.00
Space group P4/mmm (No. 123)
One atom of each set of equivalent atoms:
1 Sr 0.000 0.000 0.000 (multiplicity 1)
2 Mg 0.000 0.000 0.500 (multiplicity 1)
3 Ge 0.500 0.500 0.297 (multiplicity 2)
4 Au 0.000 0.500 0.326 (multiplicity 4)
5 Au 0.500 0.500 0.000 (multiplicity 1)

Largest 6 diffraction maxima, in order of falling intensity, 15 to 90 degrees two-theta:
Position (°2θ), Rel. int.
36.02, 100
27.39, 86
48.72, 73
33.05, 67
31.69, 60
62.06, 36